[1]
Diffraction record for Co3ReB4. The powder diffraction line list is simulated, not measured: it uses a DFT-relaxed cell (PBE, Alexandria) and a wavelength of 1.5418 Å.
Intensities are scaled so that the largest is 100.

Main lines, in order of rising 2θ (10 to 80 degrees two-theta):
Position (°2θ)	d_spacing	intensity
16.37	5.414	68.5
21.59	4.117	39.5
26.87	3.318	49.0
33.09	2.707	46.9
36.81	2.442	100.0
40.31	2.238	95.5
40.76	2.214	76.5
44.88	2.020	81.0
46.82	1.940	42.1
47.66	1.908	41.0

```
data_Co3ReB4
_chemical_formula_sum 'Co3 Re1 B4'
_cell_length_a 4.118
_cell_length_b 3.033
_cell_length_c 5.416
_cell_angle_alpha 90.00
_cell_angle_beta 91.45
_cell_angle_gamma 90.00
_space_group_name_H-M_alt 'P 1 m 1'
_space_group_IT_number 6
_space_group_name_Hall 'P -2y'
loop_
_atom_site_label
_atom_site_type_symbol
_atom_site_fract_x
_atom_site_fract_y
_atom_site_fract_z
Co1 Co 0.000 0.000 0.000
Co2 Co 0.246 0.000 0.493
Co3 Co 0.744 0.500 0.347
Re1 Re 0.504 0.500 0.853
B1 B 0.002 0.500 0.694
B2 B 0.240 0.500 0.218
B3 B 0.479 0.000 0.159
B4 B 0.774 0.000 0.624
```

[2]
Diffraction record for Co3Re4B4. The powder diffraction line list is simulated, not measured: it uses a DFT-relaxed cell (PBE, Alexandria) and a wavelength of 1.5418 Å.
Intensities are scaled so that the largest is 100.

Main lines, in order of rising 2θ (10 to 80 degrees two-theta):
Position (°2θ)	d_spacing	intensity
22.35	3.978	47.4
33.75	2.656	34.6
37.85	2.377	38.6
40.84	2.210	29.5
44.40	2.040	100.0
45.61	1.989	18.2
48.48	1.878	17.9
54.60	1.681	16.8
71.33	1.322	15.1
77.90	1.226	23.3

```
data_Co3Re4B4
_chemical_formula_sum 'Co6 Re8 B8'
_cell_length_a 5.315
_cell_length_b 5.315
_cell_length_c 7.955
_cell_angle_alpha 90.00
_cell_angle_beta 90.00
_cell_angle_gamma 90.00
_space_group_name_H-M_alt 'P 4/m b m'
_space_group_IT_number 127
_space_group_name_Hall '-P 4 2ab'
loop_
_atom_site_label
_atom_site_type_symbol
_atom_site_fract_x
_atom_site_fract_y
_atom_site_fract_z
Co1 Co 0.000 0.000 0.000
Co2 Co 0.161 0.339 0.500
Re1 Re 0.175 0.675 0.223
B1 B 0.000 0.000 0.377
B2 B 0.123 0.377 0.000
```

[3]
Diffraction record for Zn2CoB2Rh5. The powder diffraction line list is simulated, not measured: it uses a DFT-relaxed cell (PBE, Alexandria) and a wavelength of 1.5418 Å.
Intensities are scaled so that the largest is 100.

Main lines, in order of rising 2θ (10 to 80 degrees two-theta):
Position (°2θ)	d_spacing	intensity
31.41	2.848	25.3
34.49	2.601	29.4
38.20	2.356	57.2
39.63	2.274	89.1
41.81	2.160	28.6
43.14	2.097	44.9
44.09	2.054	100.0
47.33	1.921	43.0
79.39	1.207	21.9
79.77	1.202	29.1

```
data_Zn2CoB2Rh5
_chemical_formula_sum 'Zn4 Co2 B4 Rh10'
_cell_length_a 9.377
_cell_length_b 9.377
_cell_length_c 2.848
_cell_angle_alpha 90.00
_cell_angle_beta 90.00
_cell_angle_gamma 90.00
_space_group_name_H-M_alt 'P 4/m b m'
_space_group_IT_number 127
_space_group_name_Hall '-P 4 2ab'
loop_
_atom_site_label
_atom_site_type_symbol
_atom_site_fract_x
_atom_site_fract_y
_atom_site_fract_z
Zn1 Zn 0.177 0.323 0.000
Co1 Co 0.000 0.000 0.000
B1 B 0.127 0.627 0.000
Rh1 Rh 0.000 0.500 0.500
Rh2 Rh 0.073 0.786 0.500
```

[4]
Diffraction record for ScCo2BRu. The powder diffraction line list is simulated, not measured: it uses a DFT-relaxed cell (PBE, Alexandria) and a wavelength of 1.5418 Å.
Intensities are scaled so that the largest is 100.

Main lines, in order of rising 2θ (10 to 80 degrees two-theta):
Position (°2θ)	d_spacing	intensity
22.92	3.880	13.7
31.74	2.819	6.5
39.51	2.281	100.0
44.16	2.051	20.0
46.82	1.940	33.4
50.32	1.813	3.2
52.75	1.735	2.8
66.32	1.409	22.0
68.38	1.372	10.0
78.10	1.224	12.1

```
data_ScCo2BRu
_chemical_formula_sum 'Sc1 Co2 B1 Ru1'
_cell_length_a 3.880
_cell_length_b 3.880
_cell_length_c 4.102
_cell_angle_alpha 90.00
_cell_angle_beta 90.00
_cell_angle_gamma 90.00
_space_group_name_H-M_alt 'P 4/m m m'
_space_group_IT_number 123
_space_group_name_Hall '-P 4 2'
loop_
_atom_site_label
_atom_site_type_symbol
_atom_site_fract_x
_atom_site_fract_y
_atom_site_fract_z
Sc1 Sc 0.000 0.000 0.000
Co1 Co 0.000 0.500 0.500
B1 B 0.500 0.500 0.500
Ru1 Ru 0.500 0.500 0.000
```

[5]
Diffraction record for ScCo4B4. The powder diffraction line list is simulated, not measured: it uses a DFT-relaxed cell (PBE, Alexandria) and a wavelength of 1.5418 Å.
Intensities are scaled so that the largest is 100.

Main lines, in order of rising 2θ (10 to 80 degrees two-theta):
Position (°2θ)	d_spacing	intensity
22.19	4.007	26.1
31.82	2.812	57.1
38.73	2.325	100.0
42.99	2.104	86.1
43.73	2.070	63.1
49.06	1.857	50.2
52.33	1.748	33.2
69.96	1.345	16.3
77.16	1.236	17.7
78.21	1.222	30.8

```
data_ScCo4B4
_chemical_formula_sum 'Sc2 Co8 B8'
_cell_length_a 4.945
_cell_length_b 4.945
_cell_length_c 6.837
_cell_angle_alpha 90.00
_cell_angle_beta 90.00
_cell_angle_gamma 90.00
_space_group_name_H-M_alt 'P 42/n m c'
_space_group_IT_number 137
loop_
_space_group_symop_operation_xyz
'x,y,z'
'-x,-y,-z'
'-y+1/2,x,z+1/2'
'y+1/2,-x,-z+1/2'
'-x+1/2,-y+1/2,z'
'x+1/2,y+1/2,-z'
'y,-x+1/2,z+1/2'
'-y,x+1/2,-z+1/2'
'x+1/2,-y,-z'
'-x+1/2,y,z'
'-y,-x,-z+1/2'
'y,x,z+1/2'
'-x,y+1/2,-z'
'x,-y+1/2,z'
'y+1/2,x+1/2,-z+1/2'
'-y+1/2,-x+1/2,z+1/2'
loop_
_atom_site_label
_atom_site_type_symbol
_atom_site_fract_x
_atom_site_fract_y
_atom_site_fract_z
Sc1 Sc 0.250 0.750 0.250
Co1 Co 0.003 0.750 0.611
B1 B 0.074 0.250 0.093
```

[6]
Diffraction record for Sc2Co21B6. The powder diffraction line list is simulated, not measured: it uses a DFT-relaxed cell (PBE, Alexandria) and a wavelength of 1.5418 Å.
Intensities are scaled so that the largest is 100.

Main lines, in order of rising 2θ (10 to 80 degrees two-theta):
Position (°2θ)	d_spacing	intensity
34.00	2.637	7.5
38.16	2.358	20.7
41.97	2.153	22.7
44.64	2.030	100.0
48.85	1.864	16.4
51.24	1.783	25.6
52.02	1.758	14.5
74.13	1.279	5.9
76.66	1.243	19.7
78.54	1.218	11.6

```
data_Sc2Co21B6
_chemical_formula_sum 'Sc8 Co84 B24'
_cell_length_a 10.547
_cell_length_b 10.547
_cell_length_c 10.547
_cell_angle_alpha 90.00
_cell_angle_beta 90.00
_cell_angle_gamma 90.00
_space_group_name_H-M_alt 'F m -3 m'
_space_group_IT_number 225
_space_group_name_Hall '-F 4 2 3'
loop_
_atom_site_label
_atom_site_type_symbol
_atom_site_fract_x
_atom_site_fract_y
_atom_site_fract_z
Sc1 Sc 0.250 0.250 0.250
Co1 Co 0.000 0.000 0.000
Co2 Co 0.000 0.168 0.168
Co3 Co 0.115 0.115 0.385
B1 B 0.000 0.000 0.275
```

[7]
Diffraction record for ScCo5B3. The powder diffraction line list is simulated, not measured: it uses a DFT-relaxed cell (PBE, Alexandria) and a wavelength of 1.5418 Å.
Intensities are scaled so that the largest is 100.

Main lines, in order of rising 2θ (10 to 80 degrees two-theta):
Position (°2θ)	d_spacing	intensity
17.42	5.091	50.9
18.74	4.735	51.4
31.21	2.866	58.3
36.54	2.459	48.1
37.63	2.390	67.6
38.43	2.342	91.4
45.32	2.001	100.0
50.42	1.810	64.5
54.01	1.698	59.7
56.89	1.619	64.2

```
data_ScCo5B3
_chemical_formula_sum 'Sc4 Co20 B12'
_cell_length_a 3.396
_cell_length_b 10.696
_cell_length_c 10.183
_cell_angle_alpha 90.00
_cell_angle_beta 90.00
_cell_angle_gamma 90.00
_space_group_name_H-M_alt 'C m c m'
_space_group_IT_number 63
_space_group_name_Hall '-C 2c 2'
loop_
_atom_site_label
_atom_site_type_symbol
_atom_site_fract_x
_atom_site_fract_y
_atom_site_fract_z
Sc1 Sc 0.000 0.165 0.250
Co1 Co 0.000 0.000 0.000
Co2 Co 0.000 0.205 0.568
Co3 Co 0.000 0.442 0.145
B1 B 0.000 0.134 0.750
B2 B 0.000 0.387 0.551
```

[8]
Diffraction record for Sc2Co5B2W. The powder diffraction line list is simulated, not measured: it uses a DFT-relaxed cell (PBE, Alexandria) and a wavelength of 1.5418 Å.
Intensities are scaled so that the largest is 100.

Main lines, in order of rising 2θ (10 to 80 degrees two-theta):
Position (°2θ)	d_spacing	intensity
14.23	6.226	56.4
20.17	4.402	39.5
32.15	2.784	15.2
33.17	2.701	32.6
37.72	2.385	24.2
41.01	2.201	22.3
41.84	2.159	48.6
42.33	2.135	26.7
44.41	2.040	100.0
46.11	1.969	46.2

```
data_Sc2Co5B2W
_chemical_formula_sum 'Sc4 Co10 B4 W2'
_cell_length_a 8.804
_cell_length_b 8.804
_cell_length_c 2.998
_cell_angle_alpha 90.00
_cell_angle_beta 90.00
_cell_angle_gamma 90.00
_space_group_name_H-M_alt 'P 4/m b m'
_space_group_IT_number 127
_space_group_name_Hall '-P 4 2ab'
loop_
_atom_site_label
_atom_site_type_symbol
_atom_site_fract_x
_atom_site_fract_y
_atom_site_fract_z
Sc1 Sc 0.176 0.324 0.000
Co1 Co 0.000 0.500 0.500
Co2 Co 0.069 0.775 0.500
B1 B 0.117 0.617 0.000
W1 W 0.000 0.000 0.000
```

[9]
Diffraction record for Sc2ZnCo5B2. The powder diffraction line list is simulated, not measured: it uses a DFT-relaxed cell (PBE, Alexandria) and a wavelength of 1.5418 Å.
Intensities are scaled so that the largest is 100.

Main lines, in order of rising 2θ (10 to 80 degrees two-theta):
Position (°2θ)	d_spacing	intensity
36.97	2.431	16.4
38.22	2.355	51.8
41.19	2.192	18.3
42.33	2.135	43.0
42.52	2.126	59.6
44.90	2.019	100.0
46.32	1.960	46.2
48.55	1.875	31.5
63.13	1.473	18.6
79.10	1.211	16.3

```
data_Sc2ZnCo5B2
_chemical_formula_sum 'Sc4 Zn2 Co10 B4'
_cell_length_a 8.766
_cell_length_b 8.766
_cell_length_c 2.946
_cell_angle_alpha 90.00
_cell_angle_beta 90.00
_cell_angle_gamma 90.00
_space_group_name_H-M_alt 'P 4/m b m'
_space_group_IT_number 127
_space_group_name_Hall '-P 4 2ab'
loop_
_atom_site_label
_atom_site_type_symbol
_atom_site_fract_x
_atom_site_fract_y
_atom_site_fract_z
Sc1 Sc 0.176 0.324 0.000
Zn1 Zn 0.000 0.000 0.000
Co1 Co 0.000 0.500 0.500
Co2 Co 0.069 0.777 0.500
B1 B 0.121 0.621 0.000
```

[10]
Diffraction record for Co19Si8B4. The powder diffraction line list is simulated, not measured: it uses a DFT-relaxed cell (PBE, Alexandria) and a wavelength of 1.5418 Å.
Intensities are scaled so that the largest is 100.

Main lines, in order of rising 2θ (10 to 80 degrees two-theta):
Position (°2θ)	d_spacing	intensity
32.99	2.715	30.4
42.74	2.116	31.3
43.61	2.075	67.0
44.78	2.024	11.6
45.41	1.997	12.2
47.34	1.920	23.7
47.94	1.898	13.2
48.73	1.869	100.0
52.74	1.736	22.7
78.82	1.214	21.9

```
data_Co19Si8B4
_chemical_formula_sum 'Co38 Si16 B8'
_cell_length_a 9.575
_cell_length_b 8.583
_cell_length_c 8.463
_cell_angle_alpha 90.00
_cell_angle_beta 116.20
_cell_angle_gamma 90.00
_space_group_name_H-M_alt 'C 1 2 1'
_space_group_IT_number 5
_space_group_name_Hall 'C 2y'
loop_
_atom_site_label
_atom_site_type_symbol
_atom_site_fract_x
_atom_site_fract_y
_atom_site_fract_z
Co1 Co 0.000 0.074 0.000
Co2 Co 0.001 0.075 0.283
Co3 Co 0.075 0.373 0.411
Co4 Co 0.075 0.776 0.665
Co5 Co 0.078 0.369 0.914
Co6 Co 0.078 0.781 0.162
Co7 Co 0.201 0.500 0.223
Co8 Co 0.202 0.650 0.478
Co9 Co 0.205 0.496 0.729
Co10 Co 0.205 0.652 0.977
Si1 Si 0.160 0.234 0.676
Si2 Si 0.161 0.913 0.946
Si3 Si 0.161 0.914 0.484
Si4 Si 0.162 0.236 0.214
B1 B 0.000 0.573 0.500
B2 B 0.000 0.576 0.000
B3 B 0.003 0.574 0.754
```

[11]
Diffraction record for Sm2Co12SiB3. The powder diffraction line list is simulated, not measured: it uses a DFT-relaxed cell (PBE, Alexandria) and a wavelength of 1.5418 Å.
Intensities are scaled so that the largest is 100.

Main lines, in order of rising 2θ (10 to 80 degrees two-theta):
Position (°2θ)	d_spacing	intensity
27.59	3.233	21.7
28.48	3.135	56.4
36.91	2.435	72.2
37.60	2.392	40.4
39.07	2.305	33.6
41.25	2.189	100.0
43.74	2.070	16.5
49.23	1.851	66.5
56.70	1.623	16.6
57.86	1.594	15.0

```
data_Sm2Co12SiB3
_chemical_formula_sum 'Sm6 Co36 Si3 B9'
_cell_length_a 7.4028
_cell_length_b 7.4028
_cell_length_c 14.9770
_cell_angle_alpha 90.00
_cell_angle_beta 90.00
_cell_angle_gamma 120.00
_space_group_name_H-M_alt 'R -3 m'
_space_group_IT_number 166
_space_group_name_Hall '-R 3 2"'
loop_
_atom_site_label
_atom_site_type_symbol
_atom_site_fract_x
_atom_site_fract_y
_atom_site_fract_z
Sm1 Sm 0.0000 0.0000 0.1027
Co1 Co 0.0015 0.5007 0.8732
Co2 Co 0.0769 0.5384 0.3136
Si1 Si 0.0000 0.0000 0.5000
B1 B 0.0000 0.5000 0.0000
```